[1]
# ZrZnS3O12
Calculated X-ray powder pattern, Cu Kα (λ = 1.5418 Å). Input: the PBE geometry in the Materials Project.
Peak positions follow from Bragg's law for the DFT cell and can differ from measured ones.

Crystal structure
```
data_ZrZnS3O12
_chemical_formula_sum 'Zr6 Zn6 S18 O72'
_space_group_name_H-M_alt 'R 3 c'
_space_group_IT_number 161
_space_group_name_Hall 'R 3 -2"c'
_cell_length_a 8.8478
_cell_length_b 8.8478
_cell_length_c 22.7301
_cell_angle_alpha 90.00
_cell_angle_beta 90.00
_cell_angle_gamma 120.00
loop_
_atom_site_label
_atom_site_fract_x
_atom_site_fract_y
_atom_site_fract_z
Zr1 0.0000 0.0000 0.0000
Zn1 0.0000 0.0000 0.2089
S1 0.0466 0.3732 0.2734
O1 0.0231 0.2001 0.2636
O2 0.0311 0.2096 0.5532
O3 0.1528 0.4558 0.3254
O4 0.1558 0.4634 0.6138
```

Most intense lines, 10 to 80 degrees two-theta, by angle:
- (0 1 2), 2θ = 13.94°, d 6.353, rel. 56
- (1 0 4), 2θ = 19.45°, d 4.564, rel. 77
- (1 1 0), 2θ = 20.07°, d 4.424, rel. 41
- (1 1 3), 2θ = 23.28°, d 3.820, rel. 100
- (0 2 4), 2θ = 28.09°, d 3.177, rel. 57
- (1 1 6), 2θ = 31.09°, d 2.877, rel. 68
- (2 1 4), 2θ = 34.77°, d 2.580, rel. 20
- (3 0 0), 2θ = 35.14°, d 2.554, rel. 27
- (2 2 6), 2θ = 47.61°, d 1.910, rel. 20
- (2 1 10), 2θ = 51.08°, d 1.788, rel. 25


[2]
# ZrScB4
Calculated X-ray powder pattern, Cu Kα (λ = 1.5418 Å). Input: the PBE geometry in the Materials Project.
Peak positions follow from Bragg's law for the DFT cell and can differ from measured ones.

Crystal structure
```
data_ZrScB4
_chemical_formula_sum 'Zr4 Sc4 B16'
_space_group_name_H-M_alt 'F -4 3 m'
_space_group_IT_number 216
_space_group_name_Hall 'F -4 2 3'
_cell_length_a 6.3255
_cell_length_b 6.3255
_cell_length_c 6.3255
_cell_angle_alpha 90.00
_cell_angle_beta 90.00
_cell_angle_gamma 90.00
loop_
_atom_site_label
_atom_site_fract_x
_atom_site_fract_y
_atom_site_fract_z
Zr1 0.0000 0.0000 0.0000
Sc1 0.2500 0.2500 0.2500
B1 0.1016 0.1016 0.6016
```

Most intense lines, 10 to 80 degrees two-theta, by angle:
- (1 1 1), 2θ = 24.37°, d 3.652, rel. 91
- (2 0 0), 2θ = 28.22°, d 3.163, rel. 23
- (2 2 0), 2θ = 40.33°, d 2.236, rel. 100
- (3 1 1), 2θ = 47.68°, d 1.907, rel. 79
- (2 2 2), 2θ = 49.95°, d 1.826, rel. 6
- (4 0 0), 2θ = 58.35°, d 1.581, rel. 11
- (3 3 1), 2θ = 64.18°, d 1.451, rel. 22
- (4 2 0), 2θ = 66.06°, d 1.414, rel. 5
- (4 2 2), 2θ = 73.32°, d 1.291, rel. 30
- (5 1 1), 2θ = 78.59°, d 1.217, rel. 25


Q: What is the formula in the second record?
A: ZrScB4


Q: Number 1 is which compound?
A: ZrZnS3O12